The following is a theoretical X-ray powder pattern of Mn2Zn2Co4C. It was derived from DFT lattice parameters and positions (GGA-PBE), using CuKα.
Lines closer than 0.1° are merged.

Largest 8 diffraction maxima, sorted by position, 2θ from 5° to 70°:
two_theta	I_rel
34.8	2
42.0	2
42.4	100
48.0	38
52.0	13
54.7	2
60.6	1
69.0	1

a = 5.1728 Å, b = 5.1728 Å, c = 5.1728 Å
α = 117.55°, β = 117.55°, γ = 94.30°
Fractional coordinates of all 9 atoms:
Mn 0.2232 0.2232 0.0000
Mn 0.7768 0.7768 0.0000
Zn 0.2500 0.7500 0.5000
Zn 0.7500 0.2500 0.5000
Co 0.2487 0.2487 0.4974
Co 0.2487 0.7513 0.0000
Co 0.7513 0.2487 0.0000
Co 0.7513 0.7513 0.5026
C 0.5000 0.5000 0.0000

***

The following is a theoretical X-ray powder pattern of PuBeSn. It was derived from DFT lattice parameters and positions (GGA-PBE), using CuKα.
Lines closer than 0.1° are merged.

Largest 10 diffraction maxima, sorted by position, 2θ from 5° to 70°:
two_theta	I_rel
18.1	20
29.7	65
32.5	100
37.1	17
37.7	37
50.6	31
57.9	20
61.6	13
66.4	15
68.0	12

a = 6.3682 Å, b = 6.3682 Å, c = 10.7857 Å
α = 90.00°, β = 90.00°, γ = 120.00°
Fractional coordinates of all 18 atoms:
Pu 0.0000 0.0000 0.0000
Pu 0.0000 0.0000 0.3333
Pu 0.0000 0.0000 0.6667
Pu 0.0000 0.5000 0.1667
Pu 0.5000 0.0000 0.5000
Pu 0.5000 0.5000 0.8333
Be 0.2017 0.6009 0.6667
Be 0.3991 0.6009 0.3333
Be 0.3991 0.7983 0.0000
Be 0.6009 0.2017 0.0000
Be 0.6009 0.3991 0.3333
Be 0.7983 0.3991 0.6667
Sn 0.0000 0.5000 0.4560
Sn 0.0000 0.5000 0.8774
Sn 0.5000 0.0000 0.2107
Sn 0.5000 0.0000 0.7893
Sn 0.5000 0.5000 0.1226
Sn 0.5000 0.5000 0.5440

***

The following is a theoretical X-ray powder pattern of CsZr2Br8. It was derived from DFT lattice parameters and positions (GGA-PBE), using CuKα.
Lines closer than 0.1° are merged.

Largest 10 diffraction maxima, sorted by position, 2θ from 5° to 70°:
two_theta	I_rel
17.3	97
19.2	76
20.0	44
26.0	98
34.7	33
35.0	100
39.0	51
47.7	30
49.0	30
56.6	35

a = 10.2581 Å, b = 10.2581 Å, c = 5.4020 Å
α = 90.00°, β = 90.00°, γ = 120.00°
Fractional coordinates of all 11 atoms:
Cs 0.0000 0.0000 0.0000
Zr 0.3333 0.6667 0.2773
Zr 0.6667 0.3333 0.7227
Br 0.1885 0.3790 0.2820
Br 0.1905 0.8115 0.2820
Br 0.3333 0.6667 0.7789
Br 0.3790 0.1905 0.7180
Br 0.6210 0.8095 0.2820
Br 0.6667 0.3333 0.2211
Br 0.8095 0.1885 0.7180
Br 0.8115 0.6210 0.7180

***

The following is a theoretical X-ray powder pattern of RbTiAg2S4. It was derived from DFT lattice parameters and positions (GGA-PBE), using CuKα.
Lines closer than 0.1° are merged.

Largest 10 diffraction maxima, sorted by position, 2θ from 5° to 70°:
two_theta	I_rel
17.2	21
24.8	26
27.4	21
28.0	100
30.4	28
34.1	32
37.3	50
43.1	24
45.7	26
48.9	21

a = 6.4995 Å, b = 7.1723 Å, c = 8.4832 Å
α = 90.00°, β = 90.00°, γ = 90.00°
Fractional coordinates of all 16 atoms:
Rb 0.0000 0.0000 0.0000
Rb 0.5000 0.5000 0.5000
Ti 0.0000 0.0000 0.5000
Ti 0.5000 0.5000 0.0000
Ag 0.0000 0.5000 0.1794
Ag 0.0000 0.5000 0.8206
Ag 0.5000 0.0000 0.3206
Ag 0.5000 0.0000 0.6794
S 0.1904 0.1922 0.3421
S 0.1904 0.8078 0.6579
S 0.3096 0.3078 0.8421
S 0.3096 0.6922 0.1579
S 0.6904 0.3078 0.1579
S 0.6904 0.6922 0.8421
S 0.8096 0.1922 0.6579
S 0.8096 0.8078 0.3421

***

The following is a theoretical X-ray powder pattern of Cs2MgI7. It was derived from DFT lattice parameters and positions (GGA-PBE), using CuKα.
Lines closer than 0.1° are merged.

Largest 10 diffraction maxima, sorted by position, 2θ from 5° to 70°:
two_theta	I_rel
22.4	13
24.5	100
26.7	32
29.2	63
30.6	13
39.9	43
41.8	23
49.0	30
50.2	22
68.6	11

a = 9.0643 Å, b = 9.0643 Å, c = 9.0643 Å
α = 123.00°, β = 123.00°, γ = 84.88°
Fractional coordinates of all 10 atoms:
Cs 0.2500 0.7500 0.5000
Cs 0.7500 0.2500 0.5000
Mg 0.0000 0.0000 0.0000
I 0.2088 0.2088 0.0000
I 0.2472 0.2472 0.4943
I 0.2472 0.7528 0.0000
I 0.5000 0.5000 0.0000
I 0.7528 0.2472 0.0000
I 0.7528 0.7528 0.5057
I 0.7912 0.7912 0.0000

***

The following is a theoretical X-ray powder pattern of Sm6HPd2. It was derived from DFT lattice parameters and positions (GGA-PBE), using CuKα.
Lines closer than 0.1° are merged.

Largest 10 diffraction maxima, sorted by position, 2θ from 5° to 70°:
two_theta	I_rel
29.9	91
30.0	79
30.8	72
31.3	100
32.5	37
32.6	36
33.7	72
36.9	39
55.0	36
55.1	35

a = 6.5588 Å, b = 7.1306 Å, c = 11.9612 Å
α = 90.00°, β = 123.00°, γ = 90.00°
Fractional coordinates of all 18 atoms:
Sm 0.1075 0.0250 0.2512
Sm 0.1075 0.4750 0.7512
Sm 0.2269 0.6781 0.0590
Sm 0.2269 0.8219 0.5590
Sm 0.3903 0.1796 0.0609
Sm 0.3903 0.3204 0.5609
Sm 0.6097 0.6796 0.4391
Sm 0.6097 0.8204 0.9391
Sm 0.7731 0.1781 0.4410
Sm 0.7731 0.3219 0.9410
Sm 0.8925 0.5250 0.2488
Sm 0.8925 0.9750 0.7488
H 0.5000 0.0000 0.5000
H 0.5000 0.5000 0.0000
Pd 0.3247 0.1156 0.7523
Pd 0.3247 0.3844 0.2523
Pd 0.6753 0.6156 0.7477
Pd 0.6753 0.8844 0.2477